# 1
The following is a computed XRD peak list of FeH9C5NO6. It was derived from the GGA+U geometry in the Materials Project, using Cu Kα X-rays.
Intensities are scaled so that the largest is 100.

```
data_FeH9C5NO6
_chemical_formula_sum 'Fe2 H18 C10 N2 O12'
_space_group_name_H-M_alt 'P 1'
_space_group_IT_number 1
_cell_length_a 8.251
_cell_length_b 8.255
_cell_length_c 8.853
_cell_angle_alpha 90.34
_cell_angle_beta 117.72
_cell_angle_gamma 119.59
loop_
_space_group_symop_operation_xyz
'x,y,z'
loop_
_atom_site_label
_atom_site_type_symbol
_atom_site_fract_x
_atom_site_fract_y
_atom_site_fract_z
_atom_site_occupancy
Fe1 Fe 0.000 0.000 0.000 1
Fe2 Fe 0.001 0.502 0.500 1
H1 H 0.116 0.246 0.742 1
H2 H 0.129 0.371 0.261 1
H3 H 0.244 0.164 0.569 1
H4 H 0.262 0.598 0.098 1
H5 H 0.353 0.085 0.474 1
H6 H 0.390 0.624 0.974 1
H7 H 0.407 0.827 0.070 1
H8 H 0.498 0.127 0.242 1
H9 H 0.500 0.339 0.903 1
H10 H 0.500 0.876 0.747 1
H11 H 0.502 0.338 0.598 1
H12 H 0.511 0.676 0.430 1
H13 H 0.566 0.905 0.402 1
H14 H 0.651 0.237 0.027 1
H15 H 0.756 0.420 0.929 1
H16 H 0.792 0.878 0.526 1
H17 H 0.872 0.748 0.247 1
H18 H 0.892 0.634 0.762 1
C1 C 0.005 0.745 0.245 1
C2 C 0.019 0.765 0.754 1
C3 C 0.397 0.184 0.591 1
C4 C 0.408 0.695 0.091 1
C5 C 0.499 0.262 0.251 1
C6 C 0.501 0.742 0.745 1
C7 C 0.604 0.288 0.910 1
C8 C 0.623 0.807 0.409 1
C9 C 0.991 0.237 0.255 1
C10 C 0.991 0.254 0.751 1
N1 N 0.500 0.139 0.750 1
N2 N 0.612 0.751 0.250 1
O1 O 0.079 0.651 0.335 1
O2 O 0.081 0.835 0.153 1
O3 O 0.083 0.744 0.655 1
O4 O 0.095 0.933 0.845 1
O5 O 0.317 0.246 0.164 1
O6 O 0.319 0.574 0.653 1
O7 O 0.683 0.425 0.348 1
O8 O 0.685 0.757 0.835 1
O9 O 0.912 0.073 0.156 1
O10 O 0.915 0.253 0.346 1
O11 O 0.920 0.349 0.663 1
O12 O 0.925 0.168 0.849 1
```

Main lines, in order of rising 2θ (5° ≤ 2θ ≤ 70°):
| Position (°2θ) | I_rel | hkl |
| --- | --- | --- |
| 14.69 | 100 | -1 1 1 |
| 20.14 | 41 | 1 0 -2 |
| 21.40 | 12 | 1 1 -1 |
| 21.54 | 24 | 1 -2 0 |
| 24.60 | 7 | 2 -1 0 |
| 29.55 | 27 | 2 0 0 |
| 29.75 | 10 | -2 2 2 |
| 32.29 | 19 | 1 1 1 |
| 32.40 | 9 | -2 1 3 |
| 40.94 | 9 | 2 0 -4 |
| 46.60 | 8 | 1 2 -4 |
| 53.06 | 10 | 3 -2 2 |

---

# 2
The following is a computed XRD peak list of FeH6C2N2O4. It was derived from the GGA+U geometry in the Materials Project, using Cu Kα X-rays.
Intensities are scaled so that the largest is 100.

```
data_FeH6C2N2O4
_chemical_formula_sum 'Fe4 H24 C8 N8 O16'
_space_group_name_H-M_alt 'C 1 2/c 1'
_space_group_IT_number 15
_cell_length_a 14.361
_cell_length_b 6.756
_cell_length_c 9.366
_cell_angle_alpha 90.00
_cell_angle_beta 128.40
_cell_angle_gamma 90.00
loop_
_space_group_symop_operation_xyz
'x,y,z'
'-x,-y,-z'
'-x,y,-z+1/2'
'x,-y,z+1/2'
'x+1/2,y+1/2,z'
'-x+1/2,-y+1/2,-z'
'-x+1/2,y+1/2,-z+1/2'
'x+1/2,-y+1/2,z+1/2'
loop_
_atom_site_label
_atom_site_type_symbol
_atom_site_fract_x
_atom_site_fract_y
_atom_site_fract_z
_atom_site_occupancy
Fe1 Fe 0.000 0.237 0.250 1
H1 H 0.113 0.440 0.727 1
H2 H 0.171 0.469 0.941 1
H3 H 0.211 0.386 0.349 1
C1 C 0.055 0.058 0.579 1
N1 N 0.138 0.455 0.324 1
O1 O 0.090 0.202 0.534 1
O2 O 0.102 0.003 0.739 1
```

Main lines, in order of rising 2θ (5° ≤ 2θ ≤ 70°):
| Position (°2θ) | I_rel | hkl |
| --- | --- | --- |
| 15.30 | 32 | 1 1 0 |
| 15.75 | 79 | 2 0 0 |
| 16.18 | 100 | 1 1 -1 |
| 22.92 | 61 | 3 1 -1 |
| 24.24 | 21 | 0 0 2 |
| 34.95 | 14 | 1 1 -3 |
| 36.23 | 14 | 5 1 -1 |
| 36.83 | 35 | 4 2 -2 |
| 41.20 | 15 | 2 0 -4 |
| 41.78 | 11 | 4 2 0 |
| 44.56 | 15 | 1 1 3 |
| 46.83 | 15 | 6 2 -2 |